Diffraction record for Ga2SnI8. The XRD peak list is computed, not measured: it uses DFT lattice parameters and positions (PBE) and CuKα.

Structural model:
```
data_Ga2SnI8
_chemical_formula_sum 'Ga8 Sn4 I32'
_cell_length_a 21.2896
_cell_length_b 10.0162
_cell_length_c 13.8820
_cell_angle_alpha 90.00
_cell_angle_beta 130.23
_cell_angle_gamma 90.00
_symmetry_space_group_name_H-M 'C 1 2/c 1'
_symmetry_Int_Tables_number 15
_symmetry_space_group_name_Hall '-C 2yc'
loop_
_atom_site_label
_atom_site_type_symbol
_atom_site_fract_x
_atom_site_fract_y
_atom_site_fract_z
Ga1 Ga 0.0914 0.2479 0.0387
Sn1 Sn 0.0000 0.4946 0.7500
I1 I 0.0629 0.2755 0.6687
I2 I 0.0995 0.2585 0.2338
I3 I 0.1532 0.0311 0.0408
I4 I 0.1658 0.4553 0.0362
```

Most intense lines, 5° ≤ 2θ ≤ 70°, by intensity:
d/Å  two_theta  I/Imax  hkl
3.626  24.55  100  4 2 -2
2.382  37.76  48  6 2 0
3.519  25.31  44  2 0 2
5.741  15.44  36  3 1 -1
3.470  25.67  34  4 0 -4
3.640  24.46  33  0 2 2